Simulated powder XRD pattern
Compound: Na2SrWO4
Radiation: copper Kα
Structure: a GGA+U-relaxed structure

Peak list (8 most intense, 2θ = 10–80°, by intensity)
d [Å]  intensity  h k l
4.507  100  1 0 1
2.663  85  1 1 2
1.656  40  3 1 2
2.991  37  2 0 0
2.492  36  2 1 1
2.115  29  2 2 0
2.134  14  1 0 3
1.613  14  3 2 1

Structure:
Cell lengths 5.9827, 5.9827, 6.8546 Å; angles 90.00, 90.00, 90.00 degrees
Space group I-4 (No. 82)
Inequivalent atoms, fractional coordinates:
Na 0.0000 0.0000 0.0000 [2 per cell]
Na 0.0000 0.5000 0.2500 [2 per cell]
Sr 0.0000 0.5000 0.7500 [2 per cell]
W 0.0000 0.0000 0.5000 [2 per cell]
O 0.2006 0.7505 0.4825 [8 per cell]